Diffraction record for ZnGa15. The powder diffractogram is simulated, not measured: it uses a PBE-relaxed structure and Cu Ka.
No peak broadening, texture or thermal motion is included.

Most intense lines, 2θ from 15° to 90°, in order of rising 2θ:
| d [Å] | intensity |
| --- | --- |
| 2.811 | 28 |
| 2.337 | 100 |
| 2.102 | 16 |
| 1.684 | 11 |
| 1.623 | 20 |
| 1.405 | 3 |
| 1.333 | 15 |
| 1.285 | 17 |
| 1.254 | 12 |
| 1.168 | 3 |

Atomic structure:
abc: 6.4909 6.4909 8.4100
angles: 90.00 90.00 120.00
Space group P-6m2 (No. 187)
Inequivalent atoms, fractional coordinates:
Zn: 0.0000 0.0000 0.0000 [1 per cell]
Ga: 0.0000 0.0000 0.5000 [1 per cell]
Ga: 0.0195 0.5098 0.0000 [3 per cell]
Ga: 0.3275 0.1637 0.2411 [6 per cell]
Ga: 0.3333 0.6667 0.2692 [2 per cell]
Ga: 0.5122 0.0244 0.5000 [3 per cell]

Diffraction record for CsLaH2. The powder diffractogram is simulated, not measured: it uses a PBE-relaxed structure and Cu Ka.
No peak broadening, texture or thermal motion is included.

Most intense lines, 2θ from 15° to 90°, in order of rising 2θ:
| d [Å] | intensity |
| --- | --- |
| 3.610 | 100 |
| 3.510 | 97 |
| 3.302 | 81 |
| 3.181 | 73 |
| 3.168 | 72 |
| 2.646 | 91 |
| 2.192 | 27 |
| 2.182 | 26 |
| 2.113 | 23 |
| 1.644 | 21 |

Atomic structure:
abc: 3.559 4.250 7.449
angles: 80.64 76.39 65.48
Space group P-1 (No. 2)
Inequivalent atoms, fractional coordinates:
Cs: 0.000 0.000 0.000 [1 per cell]
La: 0.000 0.500 0.500 [1 per cell]
H: 0.411 0.445 0.736 [2 per cell]

Diffraction record for TbPuPaRe. The powder diffractogram is simulated, not measured: it uses a PBE-relaxed structure and Cu Ka.
No peak broadening, texture or thermal motion is included.

Most intense lines, 2θ from 15° to 90°, in order of rising 2θ:
| d [Å] | intensity |
| --- | --- |
| 3.569 | 3 |
| 2.523 | 100 |
| 2.060 | 1 |
| 1.784 | 18 |
| 1.596 | 1 |
| 1.457 | 38 |
| 1.262 | 12 |
| 1.190 | 1 |
| 1.129 | 17 |

Atomic structure:
abc: 7.137 7.137 7.137
angles: 90.00 90.00 90.00
Space group F-43m (No. 216)
Inequivalent atoms, fractional coordinates:
Tb: 0.000 0.000 0.000 [4 per cell]
Pu: 0.250 0.250 0.250 [4 per cell]
Pa: 0.250 0.250 0.750 [4 per cell]
Re: 0.000 0.000 0.500 [4 per cell]

Diffraction record for Er2CdIn3. The powder diffractogram is simulated, not measured: it uses a PBE-relaxed structure and Cu Ka.
No peak broadening, texture or thermal motion is included.

Most intense lines, 2θ from 15° to 90°, in order of rising 2θ:
| d [Å] | intensity |
| --- | --- |
| 2.708 | 100 |
| 2.478 | 78 |
| 1.828 | 31 |
| 1.745 | 9 |
| 1.471 | 30 |
| 1.431 | 14 |
| 1.427 | 27 |
| 1.239 | 8 |
| 1.127 | 13 |
| 1.106 | 12 |

Atomic structure:
abc: 6.980 9.909 17.179
angles: 90.00 90.00 90.00
Space group Fmmm (No. 69)
Inequivalent atoms, fractional coordinates:
Er: 0.250 0.000 0.000 [8 per cell]
Er: 0.250 0.250 0.250 [8 per cell]
Cd: 0.000 0.000 0.167 [8 per cell]
In: 0.000 0.000 0.332 [8 per cell]
In: 0.000 0.248 0.084 [16 per cell]

Diffraction record for LaPm2Pb9. The powder diffractogram is simulated, not measured: it uses a PBE-relaxed structure and Cu Ka.
No peak broadening, texture or thermal motion is included.

Most intense lines, 2θ from 15° to 90°, in order of rising 2θ:
| d [Å] | intensity |
| --- | --- |
| 2.848 | 100 |
| 2.466 | 51 |
| 1.744 | 36 |
| 1.488 | 29 |
| 1.486 | 14 |
| 1.424 | 13 |
| 1.234 | 4 |
| 1.132 | 19 |
| 1.103 | 12 |
| 1.102 | 6 |

Atomic structure:
abc: 4.936 4.936 14.776
angles: 90.00 90.00 90.00
Space group P4/mmm (No. 123)
Inequivalent atoms, fractional coordinates:
La: 0.000 0.000 0.000 [1 per cell]
Pm: 0.000 0.000 0.333 [2 per cell]
Pb: 0.000 0.500 0.169 [4 per cell]
Pb: 0.000 0.500 0.500 [2 per cell]
Pb: 0.500 0.500 0.000 [1 per cell]
Pb: 0.500 0.500 0.334 [2 per cell]

Diffraction record for PmPr3SmDy. The powder diffractogram is simulated, not measured: it uses a PBE-relaxed structure and Cu Ka.
No peak broadening, texture or thermal motion is included.

Most intense lines, 2θ from 15° to 90°, in order of rising 2θ:
| d [Å] | intensity |
| --- | --- |
| 3.060 | 41 |
| 3.027 | 57 |
| 2.943 | 100 |
| 2.842 | 16 |
| 2.740 | 52 |
| 2.712 | 46 |
| 2.651 | 49 |
| 1.716 | 24 |
| 1.698 | 16 |
| 1.482 | 16 |

Atomic structure:
abc: 20.784 5.888 6.864
angles: 90.00 90.93 90.00
Space group C2/m (No. 12)
Inequivalent atoms, fractional coordinates:
Pm: 0.148 0.000 0.027 [4 per cell]
Pr: 0.017 0.000 0.753 [4 per cell]
Pr: 0.161 0.500 0.758 [4 per cell]
Pr: 0.219 0.500 0.269 [4 per cell]
Sm: 0.058 0.500 0.258 [4 per cell]
Dy: 0.142 0.000 0.481 [4 per cell]

Diffraction record for Pr3CSe2. The powder diffractogram is simulated, not measured: it uses a PBE-relaxed structure and Cu Ka.
No peak broadening, texture or thermal motion is included.

Most intense lines, 2θ from 15° to 90°, in order of rising 2θ:
| d [Å] | intensity |
| --- | --- |
| 3.454 | 23 |
| 3.310 | 29 |
| 2.960 | 59 |
| 2.938 | 20 |
| 2.911 | 100 |
| 2.344 | 21 |
| 2.075 | 73 |
| 1.997 | 19 |
| 1.728 | 20 |
| 1.655 | 21 |

Atomic structure:
abc: 13.369 5.919 7.986
angles: 90.00 107.34 90.00
Space group C2/c (No. 15)
Inequivalent atoms, fractional coordinates:
Pr: 0.000 0.026 0.250 [4 per cell]
Pr: 0.138 0.499 0.569 [8 per cell]
C: 0.000 0.468 0.250 [4 per cell]
Se: 0.174 0.000 0.087 [8 per cell]

Diffraction record for TbEr5Bi5. The powder diffractogram is simulated, not measured: it uses a PBE-relaxed structure and Cu Ka.
No peak broadening, texture or thermal motion is included.

Most intense lines, 2θ from 15° to 90°, in order of rising 2θ:
| d [Å] | intensity |
| --- | --- |
| 3.117 | 51 |
| 3.100 | 100 |
| 2.198 | 98 |
| 2.187 | 19 |
| 1.796 | 21 |
| 1.790 | 21 |
| 1.393 | 10 |
| 1.390 | 14 |
| 1.387 | 13 |
| 1.269 | 14 |

Atomic structure:
abc: 13.826 6.235 8.789
angles: 90.00 108.39 90.00
Space group C2/m (No. 12)
Inequivalent atoms, fractional coordinates:
Tb: 0.000 0.000 0.000 [2 per cell]
Er: 0.000 0.000 0.500 [2 per cell]
Er: 0.162 0.500 0.336 [4 per cell]
Er: 0.163 0.500 0.827 [4 per cell]
Bi: 0.000 0.500 0.000 [2 per cell]
Bi: 0.168 0.000 0.337 [4 per cell]
Bi: 0.171 0.000 0.831 [4 per cell]

Diffraction record for Tb4SeS2. The powder diffractogram is simulated, not measured: it uses a PBE-relaxed structure and Cu Ka.
No peak broadening, texture or thermal motion is included.

Most intense lines, 2θ from 15° to 90°, in order of rising 2θ:
| d [Å] | intensity |
| --- | --- |
| 3.232 | 17 |
| 3.106 | 28 |
| 2.892 | 100 |
| 2.778 | 14 |
| 2.145 | 25 |
| 1.957 | 38 |
| 1.893 | 11 |
| 1.674 | 16 |
| 1.621 | 18 |
| 1.248 | 15 |

Atomic structure:
abc: 3.9141 3.9141 38.7897
angles: 90.00 90.00 120.00
Space group R-3m (No. 166, hexagonal axes)
Inequivalent atoms, fractional coordinates:
Tb: 0.0000 0.0000 0.1285 [6 per cell]
Tb: 0.0000 0.0000 0.2854 [6 per cell]
Se: 0.0000 0.0000 0.0000 [3 per cell]
S: 0.0000 0.0000 0.4208 [6 per cell]

Diffraction record for KRb6Na. The powder diffractogram is simulated, not measured: it uses a PBE-relaxed structure and Cu Ka.
No peak broadening, texture or thermal motion is included.

Most intense lines, 2θ from 15° to 90°, in order of rising 2θ:
| d [Å] | intensity |
| --- | --- |
| 4.327 | 47 |
| 3.899 | 100 |
| 3.872 | 98 |
| 3.839 | 97 |
| 3.567 | 29 |
| 3.530 | 37 |
| 3.491 | 27 |
| 2.421 | 28 |
| 2.378 | 26 |
| 2.163 | 42 |

Atomic structure:
abc: 8.647 8.659 8.660
angles: 90.22 91.12 91.12
Space group P-1 (No. 2)
Inequivalent atoms, fractional coordinates:
K: 0.000 0.000 0.000 [1 per cell]
Rb: 0.001 0.499 0.255 [2 per cell]
Rb: 0.255 0.001 0.501 [2 per cell]
Rb: 0.498 0.745 0.002 [2 per cell]
Na: 0.500 0.500 0.500 [1 per cell]